Starting from DFT lattice parameters and positions (GGA+U), the X-ray diffraction stick pattern of V2CoP2O10 was simulated for Cu Ka.
Lines closer than 0.1° are merged.

Main lines, most intense first (2θ = 10–90°):
hkl 0 1 2, 3.304 Å, 2θ 26.98, rel. 100
hkl 1 1 1, 4.064 Å, 2θ 21.87, rel. 67
hkl 2 1 1, 2.743 Å, 2θ 32.65, rel. 53
hkl 2 0 0, 3.221 Å, 2θ 27.70, rel. 52
hkl 1 0 0, 6.438 Å, 2θ 13.75, rel. 37
hkl 1 3 0, 2.315 Å, 2θ 38.91, rel. 34
hkl 1 1 0, 4.871 Å, 2θ 18.21, rel. 32
hkl 0 2 1, 3.325 Å, 2θ 26.81, rel. 31
hkl 3 1 0, 2.061 Å, 2θ 43.92, rel. 24
hkl 0 2 2, 2.620 Å, 2θ 34.22, rel. 22

Unit cell a=6.438 b=7.451 c=7.373 alpha=90.00 beta=90.02 gamma=90.00
Space group P2_1/c (No. 14)
One atom of each set of equivalent atoms:
V (0.243, 0.222, 0.164) (multiplicity 4)
Co (0.500, 0.000, 0.500) (multiplicity 2)
P (0.249, 0.622, 0.373) (multiplicity 4)
O (0.056, 0.742, 0.354) (multiplicity 4)
O (0.241, 0.510, 0.547) (multiplicity 4)
O (0.270, 0.167, 0.390) (multiplicity 4)
O (0.277, 0.005, 0.706) (multiplicity 4)
O (0.439, 0.749, 0.879) (multiplicity 4)